Record 1
For TbBiO, DFT lattice parameters and positions (PBE) gives the calculated powder diffraction line list in this record (Cu Kα (λ = 1.5418 Å)).
No peak broadening, texture or thermal motion is included.

Top 10 peaks for 2θ from 10° to 90°, low angle first:
- 26.7 deg, I = 53.9
- 28.9 deg, I = 100.0
- 29.9 deg, I = 16.4
- 33.8 deg, I = 44.3
- 36.5 deg, I = 80.1
- 50.6 deg, I = 33.9
- 54.5 deg, I = 21.3
- 58.1 deg, I = 37.7
- 58.7 deg, I = 20.8
- 64.0 deg, I = 15.8

Structure:
a = 3.6095 Å, b = 3.6095 Å, c = 20.0032 Å
α = 90.00°, β = 90.00°, γ = 120.00°
Sites, in units of the cell vectors:
1 Tb 0.0000 0.0000 0.0000
2 Tb 0.3333 0.6667 0.6667
3 Tb 0.6667 0.3333 0.3333
4 Bi 0.0000 0.0000 0.1878
5 Bi 0.3333 0.6667 0.8544
6 Bi 0.6667 0.3333 0.5211
7 O 0.0000 0.0000 0.3637
8 O 0.3333 0.6667 0.0304
9 O 0.6667 0.3333 0.6971

Record 2
For HgPt, DFT lattice parameters and positions (PBE) gives the calculated powder diffraction line list in this record (Cu Kα (λ = 1.5418 Å)).
No peak broadening, texture or thermal motion is included.

Top 10 peaks for 2θ from 10° to 90°, low angle first:
- 35.2 deg, I = 26.0
- 36.0 deg, I = 51.8
- 36.2 deg, I = 32.0
- 38.5 deg, I = 33.7
- 38.7 deg, I = 100.0
- 40.8 deg, I = 76.5
- 42.7 deg, I = 20.3
- 64.5 deg, I = 22.9
- 71.9 deg, I = 16.4
- 74.4 deg, I = 16.6

Structure:
a = 10.6658 Å, b = 2.9674 Å, c = 7.5211 Å
α = 90.00°, β = 111.03°, γ = 90.00°
Sites, in units of the cell vectors:
1 Hg 0.0000 0.0000 0.0000
2 Hg 0.0248 0.0000 0.6023
3 Hg 0.3262 0.0000 0.2580
4 Hg 0.5000 0.5000 0.0000
5 Hg 0.5248 0.5000 0.6023
6 Hg 0.8262 0.5000 0.2580
7 Pt 0.1211 0.5000 0.3490
8 Pt 0.2175 0.5000 0.9136
9 Pt 0.3117 0.0000 0.6610
10 Pt 0.6211 0.0000 0.3490
11 Pt 0.7175 0.0000 0.9136
12 Pt 0.8117 0.5000 0.6610

Record 3
For Th3Ni2Ge2, DFT lattice parameters and positions (PBE) gives the calculated powder diffraction line list in this record (Cu Kα (λ = 1.5418 Å)).
No peak broadening, texture or thermal motion is included.

Top 10 peaks for 2θ from 10° to 90°, low angle first:
- 25.8 deg, I = 48.8
- 29.3 deg, I = 23.7
- 32.2 deg, I = 100.0
- 33.0 deg, I = 62.4
- 36.5 deg, I = 28.7
- 40.7 deg, I = 23.0
- 43.1 deg, I = 25.5
- 44.7 deg, I = 23.0
- 55.3 deg, I = 29.3
- 76.9 deg, I = 18.2

Structure:
a = 4.0579 Å, b = 4.1975 Å, c = 18.2762 Å
α = 90.00°, β = 90.00°, γ = 90.00°
Sites, in units of the cell vectors:
1 Th 0.0000 0.0000 0.0000
2 Th 0.0000 0.5000 0.1834
3 Th 0.0000 0.5000 0.8166
4 Th 0.5000 0.0000 0.3166
5 Th 0.5000 0.0000 0.6834
6 Th 0.5000 0.5000 0.5000
7 Ni 0.0000 0.0000 0.4341
8 Ni 0.0000 0.0000 0.5659
9 Ni 0.5000 0.5000 0.0659
10 Ni 0.5000 0.5000 0.9341
11 Ge 0.0000 0.5000 0.3625
12 Ge 0.0000 0.5000 0.6375
13 Ge 0.5000 0.0000 0.1375
14 Ge 0.5000 0.0000 0.8625

Record 4
For KYAu2I6, DFT lattice parameters and positions (PBE) gives the calculated powder diffraction line list in this record (Cu Kα (λ = 1.5418 Å)).
No peak broadening, texture or thermal motion is included.

Top 10 peaks for 2θ from 10° to 90°, low angle first:
- 10.9 deg, I = 21.0
- 19.4 deg, I = 53.8
- 21.8 deg, I = 48.2
- 25.0 deg, I = 100.0
- 29.8 deg, I = 20.9
- 37.6 deg, I = 25.4
- 39.3 deg, I = 20.0
- 39.4 deg, I = 40.5
- 40.2 deg, I = 21.7
- 45.4 deg, I = 37.5

Structure:
a = 7.9259 Å, b = 7.9292 Å, c = 9.3468 Å
α = 65.01°, β = 64.92°, γ = 60.07°
Sites, in units of the cell vectors:
1 K 0.0000 0.0000 0.0000
2 Y 0.4999 0.4998 0.5002
3 Au 0.2351 0.2354 0.2925
4 Au 0.7644 0.7641 0.7086
5 I 0.1143 0.4300 0.7238
6 I 0.2676 0.8844 0.2774
7 I 0.4302 0.7319 0.7237
8 I 0.5697 0.2670 0.2774
9 I 0.7318 0.1153 0.7235
10 I 0.8856 0.5700 0.2773

Record 5
For Tm4InFe, DFT lattice parameters and positions (PBE) gives the calculated powder diffraction line list in this record (Cu Kα (λ = 1.5418 Å)).
No peak broadening, texture or thermal motion is included.

Top 10 peaks for 2θ from 10° to 90°, low angle first:
- 28.0 deg, I = 25.3
- 31.0 deg, I = 67.7
- 32.5 deg, I = 68.6
- 33.6 deg, I = 100.0
- 36.3 deg, I = 24.7
- 37.0 deg, I = 34.2
- 38.3 deg, I = 30.0
- 39.0 deg, I = 30.9
- 57.4 deg, I = 23.7
- 62.9 deg, I = 24.0

Structure:
a = 7.6915 Å, b = 7.6915 Å, c = 5.9229 Å
α = 99.62°, β = 99.62°, γ = 111.78°
Sites, in units of the cell vectors:
1 Tm 0.0556 0.7302 0.9529
2 Tm 0.1986 0.3508 0.6148
3 Tm 0.2698 0.9444 0.5471
4 Tm 0.3508 0.1986 0.1148
5 Tm 0.6492 0.8014 0.8852
6 Tm 0.7302 0.0556 0.4529
7 Tm 0.8014 0.6492 0.3852
8 Tm 0.9444 0.2698 0.0471
9 In 0.3733 0.6267 0.2500
10 In 0.6267 0.3733 0.7500
11 Fe 0.0008 0.9992 0.7500
12 Fe 0.9992 0.0008 0.2500

Record 6
For Pr2TlC2N6, DFT lattice parameters and positions (PBE) gives the calculated powder diffraction line list in this record (Cu Kα (λ = 1.5418 Å)).
No peak broadening, texture or thermal motion is included.

Top 10 peaks for 2θ from 10° to 90°, low angle first:
- 18.0 deg, I = 39.8
- 21.1 deg, I = 92.9
- 26.0 deg, I = 100.0
- 28.1 deg, I = 49.7
- 28.7 deg, I = 65.7
- 29.5 deg, I = 86.7
- 30.6 deg, I = 51.7
- 34.1 deg, I = 43.7
- 34.6 deg, I = 30.4
- 34.9 deg, I = 34.2

Structure:
a = 5.3936 Å, b = 5.5042 Å, c = 6.4823 Å
α = 112.40°, β = 104.18°, γ = 101.90°
Sites, in units of the cell vectors:
1 Pr 0.2221 0.0970 0.3324
2 Pr 0.7779 0.9030 0.6676
3 Tl 0.5000 0.5000 0.0000
4 C 0.2663 0.7712 0.7561
5 C 0.7337 0.2288 0.2439
6 N 0.1400 0.7901 0.9132
7 N 0.2671 0.9346 0.6418
8 N 0.4040 0.5813 0.7017
9 N 0.5960 0.4187 0.2983
10 N 0.7329 0.0654 0.3582
11 N 0.8600 0.2099 0.0868

Record 7
For V7Fe6Pd16, DFT lattice parameters and positions (PBE) gives the calculated powder diffraction line list in this record (Cu Kα (λ = 1.5418 Å)).
No peak broadening, texture or thermal motion is included.

Top 10 peaks for 2θ from 10° to 90°, low angle first:
- 23.8 deg, I = 18.9
- 33.1 deg, I = 16.3
- 41.2 deg, I = 100.0
- 47.5 deg, I = 32.7
- 48.8 deg, I = 15.0
- 69.4 deg, I = 10.0
- 70.4 deg, I = 19.0
- 84.0 deg, I = 23.5
- 85.9 deg, I = 11.0
- 89.4 deg, I = 10.2

Structure:
a = 9.2284 Å, b = 9.2284 Å, c = 9.2284 Å
α = 130.95°, β = 130.95°, γ = 71.89°
Sites, in units of the cell vectors:
1 V 0.0000 0.0000 0.0000
2 V 0.0000 0.0000 0.5000
3 V 0.0000 0.5000 0.0000
4 V 0.0000 0.5000 0.5000
5 V 0.5000 0.0000 0.0000
6 V 0.5000 0.0000 0.5000
7 V 0.5000 0.5000 0.5000
8 Fe 0.2511 0.2511 0.0000
9 Fe 0.2511 0.2511 0.5022
10 Fe 0.2511 0.7489 0.0000
11 Fe 0.7489 0.2511 0.0000
12 Fe 0.7489 0.7489 0.0000
13 Fe 0.7489 0.7489 0.4978
14 Pd 0.1233 0.3732 0.7501
15 Pd 0.1255 0.8733 0.2521
16 Pd 0.1267 0.3788 0.2521
17 Pd 0.1267 0.8745 0.7479
18 Pd 0.3732 0.1233 0.7501
19 Pd 0.3732 0.6231 0.2499
20 Pd 0.3769 0.6268 0.7501
21 Pd 0.3788 0.1267 0.2521
22 Pd 0.6212 0.8733 0.7479
23 Pd 0.6231 0.3732 0.2499
24 Pd 0.6268 0.3769 0.7501
25 Pd 0.6268 0.8767 0.2499
26 Pd 0.8733 0.1255 0.2521
27 Pd 0.8733 0.6212 0.7479
28 Pd 0.8745 0.1267 0.7479
29 Pd 0.8767 0.6268 0.2499

Record 8
For CaTiNb2O8, DFT lattice parameters and positions (PBE) gives the calculated powder diffraction line list in this record (Cu Kα (λ = 1.5418 Å)).
No peak broadening, texture or thermal motion is included.

Top 10 peaks for 2θ from 10° to 90°, low angle first:
- 18.3 deg, I = 55.1
- 25.1 deg, I = 100.0
- 26.9 deg, I = 89.2
- 33.0 deg, I = 66.6
- 33.7 deg, I = 62.9
- 37.1 deg, I = 37.3
- 49.1 deg, I = 30.6
- 50.5 deg, I = 25.0
- 51.6 deg, I = 39.3
- 52.0 deg, I = 27.1

Structure:
a = 4.8501 Å, b = 4.8501 Å, c = 6.4597 Å
α = 91.27°, β = 91.27°, γ = 86.08°
Sites, in units of the cell vectors:
1 Ca 0.0000 0.0000 0.0000
2 Ti 0.0000 0.0000 0.5000
3 Nb 0.4644 0.4644 0.7457
4 Nb 0.5356 0.5356 0.2543
5 O 0.1979 0.7855 0.2857
6 O 0.2145 0.8021 0.7143
7 O 0.2983 0.2983 0.5041
8 O 0.3228 0.3228 0.9891
9 O 0.6772 0.6772 0.0109
10 O 0.7017 0.7017 0.4959
11 O 0.7855 0.1979 0.2857
12 O 0.8021 0.2145 0.7143